Theoretical powder XRD pattern
Compound: Na8Si6SnO18
Radiation: a wavelength of 1.5418 Å
Structure: a cell relaxed with GGA-PBE
Peak positions follow from Bragg's law for the DFT cell and can differ from measured ones.

Crystal structure
a = 7.4431 Å, b = 7.4431 Å, c = 7.4431 Å
α = 87.78°, β = 87.78°, γ = 87.78°
Atoms (fractional coordinates):
Na (0.0000, 0.0000, 0.5000)
Na (0.0000, 0.5000, 0.0000)
Na (0.0000, 0.5000, 0.5000)
Na (0.2449, 0.2449, 0.2449)
Na (0.5000, 0.0000, 0.0000)
Na (0.5000, 0.0000, 0.5000)
Na (0.5000, 0.5000, 0.0000)
Na (0.7551, 0.7551, 0.7551)
Si (0.2651, 0.7211, 0.7211)
Si (0.2789, 0.2789, 0.7349)
Si (0.2789, 0.7349, 0.2789)
Si (0.7211, 0.2651, 0.7211)
Si (0.7211, 0.7211, 0.2651)
Si (0.7349, 0.2789, 0.2789)
Sn (0.0000, 0.0000, 0.0000)
O (0.0798, 0.8108, 0.8108)
O (0.1892, 0.1892, 0.9202)
O (0.1892, 0.9202, 0.1892)
O (0.2117, 0.2117, 0.5495)
O (0.2117, 0.5495, 0.2117)
O (0.2424, 0.5000, 0.7576)
O (0.2424, 0.7576, 0.5000)
O (0.4505, 0.7883, 0.7883)
O (0.5000, 0.2424, 0.7576)
O (0.5000, 0.7576, 0.2424)
O (0.5495, 0.2117, 0.2117)
O (0.7576, 0.2424, 0.5000)
O (0.7576, 0.5000, 0.2424)
O (0.7883, 0.4505, 0.7883)
O (0.7883, 0.7883, 0.4505)
O (0.8108, 0.0798, 0.8108)
O (0.8108, 0.8108, 0.0798)
O (0.9202, 0.1892, 0.1892)

Largest 10 diffraction maxima, low angle first, 10° ≤ 2θ ≤ 90°:
| 2theta | Rel. int. |
| --- | --- |
| 11.9 | 71.5 |
| 16.5 | 50.8 |
| 21.0 | 49.1 |
| 26.4 | 56.5 |
| 27.2 | 90.5 |
| 29.6 | 25.4 |
| 33.5 | 100.0 |
| 34.8 | 91.5 |
| 49.0 | 65.9 |
| 61.5 | 30.7 |